Entry 1:
# CuHO2
Simulated powder X-ray diffraction pattern, Cu Kα, 1.54184 Å. Input: a structure optimized by DFT (GGA-PBE).
Lines closer than 0.1° are merged.

```
data_CuHO2
_chemical_formula_sum 'Cu4 H4 O8'
_symmetry_space_group_name_H-M 'C m c 21'
_symmetry_Int_Tables_number 36
_cell_length_a 2.9690
_cell_length_b 11.9301
_cell_length_c 4.0307
_cell_angle_alpha 90.00
_cell_angle_beta 90.00
_cell_angle_gamma 90.00
loop_
_symmetry_equiv_pos_as_xyz
'x,y,z'
'-x,-y,z+1/2'
'-x,y,z'
'x,-y,z+1/2'
'x+1/2,y+1/2,z'
'-x+1/2,-y+1/2,z+1/2'
'-x+1/2,y+1/2,z'
'x+1/2,-y+1/2,z+1/2'
loop_
_atom_site_label
_atom_site_fract_x
_atom_site_fract_y
_atom_site_fract_z
Cu1 0.0000 0.1782 0.0000
H1 0.0000 0.4817 0.3059
O1 0.0000 0.2098 0.5023
O2 0.0000 0.4309 0.5108
```

Main lines, low angle first (10 to 90 degrees two-theta):
| d_spacing | intensity |
| --- | --- |
| 5.965 | 100 |
| 3.340 | 87 |
| 2.398 | 14 |
| 2.379 | 69 |
| 2.344 | 29 |
| 2.015 | 28 |
| 1.909 | 11 |
| 1.860 | 25 |
| 1.689 | 23 |
| 1.538 | 29 |
| 1.388 | 13 |
| 1.367 | 16 |

***

Entry 2:
# CuHO2
Simulated powder X-ray diffraction pattern, Cu Kα, 1.54184 Å. Input: a structure optimized by DFT (GGA-PBE).
Lines closer than 0.1° are merged.

```
data_CuHO2
_chemical_formula_sum 'Cu2 H2 O4'
_symmetry_space_group_name_H-M 'C 1 2/m 1'
_symmetry_Int_Tables_number 12
_cell_length_a 6.4857
_cell_length_b 2.7900
_cell_length_c 4.4423
_cell_angle_alpha 90.00
_cell_angle_beta 98.50
_cell_angle_gamma 90.00
loop_
_symmetry_equiv_pos_as_xyz
'x,y,z'
'-x,-y,-z'
'-x,y,-z'
'x,-y,z'
'x+1/2,y+1/2,z'
'-x+1/2,-y+1/2,-z'
'-x+1/2,y+1/2,-z'
'x+1/2,-y+1/2,z'
loop_
_atom_site_label
_atom_site_fract_x
_atom_site_fract_y
_atom_site_fract_z
Cu1 0.0000 0.0000 0.0000
H1 0.0000 0.5000 0.5000
O1 0.0788 0.5000 0.7645
```

Main lines, low angle first (10 to 90 degrees two-theta):
| d_spacing | intensity |
| --- | --- |
| 4.393 | 100 |
| 3.207 | 75 |
| 2.795 | 11 |
| 2.558 | 15 |
| 2.425 | 40 |
| 2.270 | 48 |
| 2.156 | 17 |
| 1.717 | 26 |
| 1.698 | 16 |
| 1.649 | 23 |
| 1.620 | 19 |
| 1.166 | 11 |